The following is a theoretical X-ray diffraction stick pattern of K2MnH4I4O14. It was derived from a cell relaxed with PBE+U, using Cu Kα.
Peak positions follow from Bragg's law for the DFT cell and can differ from measured ones.

a b c (Å): 14.061 7.984 8.384
angles (deg): 90.00 126.10 90.00
Space group C2 (No. 5)
One atom of each set of equivalent atoms:
K1 0.000 0.000 0.000 [2 per cell]
K2 0.000 0.479 0.000 [2 per cell]
Mn1 0.000 0.543 0.500 [2 per cell]
H1 0.047 0.881 0.625 [4 per cell]
H2 0.049 0.208 0.474 [4 per cell]
I1 0.224 0.717 0.481 [4 per cell]
I2 0.238 0.734 0.983 [4 per cell]
O1 0.000 0.277 0.500 [2 per cell]
O2 0.000 0.814 0.500 [2 per cell]
O3 0.125 0.574 0.830 [4 per cell]
O4 0.134 0.120 0.421 [4 per cell]
O5 0.143 0.920 0.868 [4 per cell]
O6 0.144 0.526 0.464 [4 per cell]
O7 0.160 0.736 0.217 [4 per cell]
O8 0.181 0.242 0.128 [4 per cell]

Principal peaks in the range 2θ from 5° to 70°, in order of rising 2θ:
Position (°2θ)  I/Imax  hkl
15.6  68  2 0 0
21.2  38  2 0 -2
22.3  41  0 2 0
26.3  66  0 0 2
26.5  60  4 0 -2
27.3  100  2 2 0
30.9  49  2 2 -2
31.5  20  4 0 0
38.9  19  4 2 0
43.2  20  4 0 -4
44.6  25  2 2 2
44.9  24  6 2 -2